Computed powder X-ray diffraction pattern
Compound: NbCuS3F
Radiation: λ = 1.5418 Å (Cu Kα)
Structure: a cell relaxed with PBE
Kinematic intensities with the Lorentz-polarization factor, no thermal factor.

Peak list (8 most intense, 2θ = 15–90°, by intensity)
2theta	I_rel
25.95	100
21.47	98
38.54	61
24.68	53
37.39	42
25.11	40
46.95	29
22.08	26

```
data_NbCuS3F
_chemical_formula_sum 'Nb2 Cu2 S6 F2'
_symmetry_space_group_name_H-M 'P -1'
_symmetry_Int_Tables_number 2
_symmetry_space_group_name_Hall '-P 1'
_cell_length_a 4.7579
_cell_length_b 7.0605
_cell_length_c 7.6514
_cell_angle_alpha 70.69
_cell_angle_beta 84.31
_cell_angle_gamma 79.33
loop_
_atom_site_label
_atom_site_type_symbol
_atom_site_fract_x
_atom_site_fract_y
_atom_site_fract_z
Nb1 Nb 0.2331 0.1355 0.2801
Cu1 Cu 0.2194 0.3754 0.6850
S1 S 0.2318 0.4387 0.3792
S2 S 0.2424 0.3263 0.9860
S3 S 0.2488 0.9049 0.6467
F1 F 0.3741 0.8616 0.2553
```